BaCaMg6O8: simulated powder XRD pattern (Cu Ka), based on a structure optimized by DFT (PBE).
Neutral-atom scattering factors, no anomalous dispersion.

a = 4.681 Å, b = 4.681 Å, c = 9.235 Å
α = 90.00°, β = 90.00°, γ = 90.00°
Space group P4/mmm (No. 123)
Asymmetric unit:
Ba 0.000 0.000 0.000 (multiplicity 1)
Ca 0.000 0.000 0.500 (multiplicity 1)
Mg 0.000 0.500 0.262 (multiplicity 4)
Mg 0.500 0.500 0.000 (multiplicity 1)
Mg 0.500 0.500 0.500 (multiplicity 1)
O 0.000 0.000 0.268 (multiplicity 2)
O 0.000 0.500 0.000 (multiplicity 2)
O 0.000 0.500 0.500 (multiplicity 2)
O 0.500 0.500 0.255 (multiplicity 2)

Largest 8 diffraction maxima, by angle, 2θ = 10–90°:
18.96°, I 43, (1 0 0)
21.28°, I 32, (1 0 1)
27.13°, I 37, (1 0 2)
33.30°, I 53, (1 1 2)
38.46°, I 100, (2 0 0)
39.01°, I 46, (0 0 4)
55.52°, I 31, (2 2 0)
55.94°, I 58, (2 0 4)

BaCa2MgSi2O8: simulated powder XRD pattern (Cu Ka), based on a structure optimized by DFT (PBE).
Neutral-atom scattering factors, no anomalous dispersion.

a = 5.4981 Å, b = 5.4981 Å, c = 6.8558 Å
α = 90.00°, β = 90.00°, γ = 120.00°
Space group P-3m1 (No. 164)
Asymmetric unit:
Ba 0.0000 0.0000 0.0000 (multiplicity 1)
Ca 0.3333 0.6667 0.6591 (multiplicity 2)
Mg 0.0000 0.0000 0.5000 (multiplicity 1)
Si 0.3333 0.6667 0.2239 (multiplicity 2)
O 0.1753 0.3506 0.3232 (multiplicity 6)
O 0.3333 0.6667 0.9872 (multiplicity 2)

Largest 8 diffraction maxima, by angle, 2θ = 10–90°:
18.64°, I 25, (1 0 0)
22.74°, I 57, (0 1 1)
32.18°, I 79, (0 1 2)
32.57°, I 100, (1 1 0)
35.17°, I 25, (1 1 1)
40.09°, I 30, (0 2 1)
46.44°, I 52, (2 0 2)
57.87°, I 28, (1 2 2)

BaCa2MgSi2O8: simulated powder XRD pattern (Cu Ka), based on a structure optimized by DFT (PBE).
Neutral-atom scattering factors, no anomalous dispersion.

a = 5.4847 Å, b = 5.4847 Å, c = 6.8972 Å
α = 90.00°, β = 90.00°, γ = 120.00°
Space group P-3 (No. 147)
Asymmetric unit:
Ba 0.0000 0.0000 0.0000 (multiplicity 1)
Ca 0.3333 0.6667 0.3383 (multiplicity 2)
Mg 0.0000 0.0000 0.5000 (multiplicity 1)
Si 0.3333 0.6667 0.7723 (multiplicity 2)
O 0.1169 0.7629 0.6759 (multiplicity 6)
O 0.3333 0.6667 0.0075 (multiplicity 2)

Largest 8 diffraction maxima, by angle, 2θ = 10–90°:
18.68°, I 24, (1 0 0)
22.73°, I 61, (1 0 1)
32.07°, I 86, (1 0 2)
32.65°, I 100, (1 1 0)
35.22°, I 29, (2 -1 1)
40.16°, I 27, (2 0 1)
46.42°, I 50, (0 2 2)
57.91°, I 31, (3 -1 2)